(1)
For BaSrU, DFT lattice parameters and positions (GGA-PBE) gives the theoretical powder X-ray diffraction pattern in this record (Cu Kα, 1.54184 Å).
Neutral-atom scattering factors, no anomalous dispersion.

Cell and atoms:
a = 8.639 Å, b = 8.639 Å, c = 8.639 Å
α = 90.00°, β = 90.00°, γ = 90.00°
Fractional positions:
Ba1 0.000 0.000 0.000
Ba2 0.000 0.500 0.500
Ba3 0.500 0.000 0.500
Ba4 0.500 0.500 0.000
Sr1 0.000 0.000 0.500
Sr2 0.000 0.500 0.000
Sr3 0.500 0.000 0.000
Sr4 0.500 0.500 0.500
U1 0.250 0.250 0.250
U2 0.250 0.750 0.750
U3 0.750 0.250 0.750
U4 0.750 0.750 0.250

Peak list (8 most intense, 2θ = 5–70°, sorted by position)
Position (°2θ)	d_spacing	I (rel.)
17.78	4.988	57
29.24	3.054	100
34.43	2.605	35
41.83	2.160	19
45.78	1.982	16
51.85	1.763	41
60.64	1.527	13
68.72	1.366	18

(2)
For Cu12Te, DFT lattice parameters and positions (GGA-PBE) gives the theoretical powder X-ray diffraction pattern in this record (Cu Kα, 1.54184 Å).
Neutral-atom scattering factors, no anomalous dispersion.

Cell and atoms:
a = 10.668 Å, b = 2.646 Å, c = 24.693 Å
α = 90.00°, β = 90.50°, γ = 90.00°
Fractional positions:
Cu1 0.028 0.250 0.458
Cu2 0.081 0.750 0.676
Cu3 0.086 0.750 0.374
Cu4 0.139 0.250 0.593
Cu5 0.195 0.750 0.509
Cu6 0.252 0.250 0.424
Cu7 0.301 0.750 0.646
Cu8 0.306 0.750 0.336
Cu9 0.361 0.250 0.559
Cu10 0.417 0.750 0.475
Cu11 0.468 0.250 0.691
Cu12 0.471 0.250 0.390
Cu13 0.529 0.750 0.610
Cu14 0.532 0.750 0.309
Cu15 0.583 0.250 0.525
Cu16 0.639 0.750 0.441
Cu17 0.694 0.250 0.664
Cu18 0.699 0.250 0.354
Cu19 0.748 0.750 0.576
Cu20 0.805 0.250 0.491
Cu21 0.861 0.750 0.407
Cu22 0.914 0.250 0.626
Cu23 0.919 0.250 0.324
Cu24 0.972 0.750 0.542
Te1 0.132 0.250 0.268
Te2 0.868 0.750 0.732

Peak list (8 most intense, 2θ = 5–70°, sorted by position)
Position (°2θ)	d_spacing	I (rel.)
10.75	8.231	40
41.46	2.178	100
43.64	2.074	50
43.93	2.061	33
44.49	2.036	26
45.08	2.011	20
49.72	1.834	46
50.72	1.800	27

(3)
For TbSmMg2Sn2, DFT lattice parameters and positions (GGA-PBE) gives the theoretical powder X-ray diffraction pattern in this record (Cu Kα, 1.54184 Å).
Neutral-atom scattering factors, no anomalous dispersion.

Cell and atoms:
a = 4.435 Å, b = 4.435 Å, c = 15.999 Å
α = 90.00°, β = 90.00°, γ = 90.00°
Fractional positions:
Tb1 0.000 0.000 0.000
Tb2 0.500 0.500 0.500
Sm1 0.000 0.000 0.332
Sm2 0.500 0.500 0.832
Mg1 0.000 0.500 0.165
Mg2 0.000 0.500 0.665
Mg3 0.500 0.000 0.165
Mg4 0.500 0.000 0.665
Sn1 0.000 0.000 0.531
Sn2 0.000 0.000 0.800
Sn3 0.500 0.500 0.031
Sn4 0.500 0.500 0.300

Peak list (8 most intense, 2θ = 5–70°, sorted by position)
Position (°2θ)	d_spacing	I (rel.)
11.06	7.999	28
22.23	4.000	43
28.46	3.136	100
30.62	2.920	36
34.57	2.595	33
36.41	2.468	84
40.69	2.217	56
44.61	2.031	29

(4)
For TmZn6Ag6, DFT lattice parameters and positions (GGA-PBE) gives the theoretical powder X-ray diffraction pattern in this record (Cu Kα, 1.54184 Å).
Neutral-atom scattering factors, no anomalous dispersion.

Cell and atoms:
a = 7.041 Å, b = 7.041 Å, c = 7.041 Å
α = 136.93°, β = 98.23°, γ = 97.26°
Fractional positions:
Tm1 0.000 0.000 0.000
Zn1 0.000 0.000 0.500
Zn2 0.000 0.500 0.000
Zn3 0.228 0.728 0.500
Zn4 0.500 0.000 0.000
Zn5 0.500 0.500 0.500
Zn6 0.772 0.272 0.500
Ag1 0.191 0.500 0.691
Ag2 0.346 0.000 0.346
Ag3 0.346 0.346 0.000
Ag4 0.654 0.000 0.654
Ag5 0.654 0.654 0.000
Ag6 0.809 0.500 0.309

Peak list (8 most intense, 2θ = 5–70°, sorted by position)
Position (°2θ)	d_spacing	I (rel.)
33.94	2.641	81
34.71	2.585	41
38.70	2.327	46
39.09	2.304	96
39.22	2.297	100
39.94	2.257	92
43.81	2.066	39
44.67	2.029	55